Record 1
Computed X-ray powder pattern
Compound: LaCd11
Radiation: CuKα
Structure: a cell relaxed with GGA-PBE

Atomic structure:
```
LaCd11
1.0
9.4581 0.0000 0.0000
0.0000 9.4581 0.0000
0.0000 0.0000 9.4581
La Cd
3 33
Direct
0.0000 0.0000 0.5000
0.0000 0.5000 0.0000
0.5000 0.0000 0.0000
0.0000 0.3452 0.3452
0.0000 0.3452 0.6548
0.0000 0.6548 0.3452
0.0000 0.6548 0.6548
0.1564 0.1564 0.1564
0.1564 0.1564 0.8436
0.1564 0.8436 0.1564
0.1564 0.8436 0.8436
0.2663 0.2663 0.5000
0.2663 0.5000 0.2663
0.2663 0.5000 0.7337
0.2663 0.7337 0.5000
0.3452 0.0000 0.3452
0.3452 0.0000 0.6548
0.3452 0.3452 0.0000
0.3452 0.6548 0.0000
0.5000 0.2663 0.2663
0.5000 0.2663 0.7337
0.5000 0.5000 0.5000
0.5000 0.7337 0.2663
0.5000 0.7337 0.7337
0.6548 0.0000 0.3452
0.6548 0.0000 0.6548
0.6548 0.3452 0.0000
0.6548 0.6548 0.0000
0.7337 0.2663 0.5000
0.7337 0.5000 0.2663
0.7337 0.5000 0.7337
0.7337 0.7337 0.5000
0.8436 0.1564 0.1564
0.8436 0.1564 0.8436
0.8436 0.8436 0.1564
0.8436 0.8436 0.8436
```

Peak list (6 most intense, 2θ from 10° to 90°, by intensity)
2θ/deg, I_rel
39.28, 100
31.37, 87
32.80, 78
40.46, 69
43.87, 51
34.18, 47

Record 2
Computed X-ray powder pattern
Compound: Li2S2O7
Radiation: CuKα
Structure: a cell relaxed with GGA-PBE

Atomic structure:
```
Li2S2O7
1.0
13.3575 0.0000 0.0000
0.0000 8.3637 0.0000
0.0000 0.0000 4.9539
Li S O
8 8 28
Direct
0.1040 0.0690 0.1031
0.1040 0.4310 0.1031
0.3960 0.5690 0.6031
0.3960 0.9310 0.6031
0.6040 0.0690 0.3969
0.6040 0.4310 0.3969
0.8960 0.5690 0.8969
0.8960 0.9310 0.8969
0.0024 0.7500 0.3839
0.2152 0.7500 0.2827
0.2848 0.2500 0.7827
0.4976 0.2500 0.8839
0.5024 0.7500 0.1161
0.7152 0.7500 0.2173
0.7848 0.2500 0.7173
0.9976 0.2500 0.6161
0.0089 0.1037 0.7756
0.0089 0.3963 0.7756
0.0563 0.2500 0.3675
0.1163 0.7500 0.5007
0.2023 0.2500 0.9754
0.2055 0.6033 0.1296
0.2055 0.8967 0.1296
0.2945 0.1033 0.6296
0.2945 0.3967 0.6296
0.2977 0.7500 0.4754
0.3837 0.2500 0.0007
0.4437 0.7500 0.8675
0.4911 0.6037 0.2756
0.4911 0.8963 0.2756
0.5089 0.1037 0.7244
0.5089 0.3963 0.7244
0.5563 0.2500 0.1325
0.6163 0.7500 0.9993
0.7023 0.2500 0.5246
0.7055 0.6033 0.3704
0.7055 0.8967 0.3704
0.7945 0.1033 0.8704
0.7945 0.3967 0.8704
0.7977 0.7500 0.0246
0.8837 0.2500 0.4993
0.9437 0.7500 0.6325
0.9911 0.6037 0.2244
0.9911 0.8963 0.2244
```

Peak list (6 most intense, 2θ from 10° to 90°, by intensity)
2θ/deg, I_rel
20.84, 100
21.25, 68
28.74, 52
34.11, 41
26.70, 31
22.34, 18

Record 3
Computed X-ray powder pattern
Compound: Ba4WN4
Radiation: CuKα
Structure: a cell relaxed with GGA-PBE

Atomic structure:
```
Ba4WN4
1.0
7.2531 0.0000 0.0000
0.0000 7.2531 0.0000
0.0000 0.0000 9.1262
Ba W N
8 2 8
Direct
0.0116 0.2500 0.0718
0.2500 0.0116 0.5718
0.2500 0.4884 0.5718
0.4884 0.2500 0.0718
0.5116 0.7500 0.9282
0.7500 0.5116 0.4282
0.7500 0.9884 0.4282
0.9884 0.7500 0.9282
0.2500 0.7500 0.2500
0.7500 0.2500 0.7500
0.0438 0.7500 0.3799
0.2500 0.5438 0.1201
0.2500 0.9562 0.1201
0.4562 0.7500 0.3799
0.5438 0.2500 0.6201
0.7500 0.0438 0.8799
0.7500 0.4562 0.8799
0.9562 0.2500 0.6201
```

Peak list (6 most intense, 2θ from 10° to 90°, by intensity)
2θ/deg, I_rel
26.45, 100
29.22, 70
31.90, 51
23.03, 45
40.34, 44
33.91, 27

Record 4
Computed X-ray powder pattern
Compound: KIn2Br2Cl
Radiation: CuKα
Structure: a cell relaxed with GGA-PBE

Atomic structure:
```
KIn2Br2Cl
1.0
9.9404 -3.2960 0.0000
9.9404 3.2960 0.0000
0.0000 0.0000 6.5899
K In Br Cl
2 4 4 2
Direct
0.2487 0.7513 0.5000
0.7513 0.2487 0.0000
0.0909 0.5852 0.9988
0.4148 0.9091 0.9988
0.5852 0.0909 0.4988
0.9091 0.4148 0.4988
0.0784 0.5909 0.4980
0.4091 0.9216 0.4980
0.5909 0.0784 0.9980
0.9216 0.4091 0.9980
0.2511 0.7489 0.9998
0.7489 0.2511 0.4998
```

Peak list (6 most intense, 2θ from 10° to 90°, by intensity)
2θ/deg, I_rel
27.06, 100
38.53, 75
26.91, 50
47.71, 39
38.64, 38
63.04, 33

Repeat the first record exactly.
Computed X-ray powder pattern
Compound: LaCd11
Radiation: CuKα
Structure: a cell relaxed with GGA-PBE

Atomic structure:
```
LaCd11
1.0
9.4581 0.0000 0.0000
0.0000 9.4581 0.0000
0.0000 0.0000 9.4581
La Cd
3 33
Direct
0.0000 0.0000 0.5000
0.0000 0.5000 0.0000
0.5000 0.0000 0.0000
0.0000 0.3452 0.3452
0.0000 0.3452 0.6548
0.0000 0.6548 0.3452
0.0000 0.6548 0.6548
0.1564 0.1564 0.1564
0.1564 0.1564 0.8436
0.1564 0.8436 0.1564
0.1564 0.8436 0.8436
0.2663 0.2663 0.5000
0.2663 0.5000 0.2663
0.2663 0.5000 0.7337
0.2663 0.7337 0.5000
0.3452 0.0000 0.3452
0.3452 0.0000 0.6548
0.3452 0.3452 0.0000
0.3452 0.6548 0.0000
0.5000 0.2663 0.2663
0.5000 0.2663 0.7337
0.5000 0.5000 0.5000
0.5000 0.7337 0.2663
0.5000 0.7337 0.7337
0.6548 0.0000 0.3452
0.6548 0.0000 0.6548
0.6548 0.3452 0.0000
0.6548 0.6548 0.0000
0.7337 0.2663 0.5000
0.7337 0.5000 0.2663
0.7337 0.5000 0.7337
0.7337 0.7337 0.5000
0.8436 0.1564 0.1564
0.8436 0.1564 0.8436
0.8436 0.8436 0.1564
0.8436 0.8436 0.8436
```

Peak list (6 most intense, 2θ from 10° to 90°, by intensity)
2θ/deg, I_rel
39.28, 100
31.37, 87
32.80, 78
40.46, 69
43.87, 51
34.18, 47

Repeat the second record exactly.
Computed X-ray powder pattern
Compound: Li2S2O7
Radiation: CuKα
Structure: a cell relaxed with GGA-PBE

Atomic structure:
```
Li2S2O7
1.0
13.3575 0.0000 0.0000
0.0000 8.3637 0.0000
0.0000 0.0000 4.9539
Li S O
8 8 28
Direct
0.1040 0.0690 0.1031
0.1040 0.4310 0.1031
0.3960 0.5690 0.6031
0.3960 0.9310 0.6031
0.6040 0.0690 0.3969
0.6040 0.4310 0.3969
0.8960 0.5690 0.8969
0.8960 0.9310 0.8969
0.0024 0.7500 0.3839
0.2152 0.7500 0.2827
0.2848 0.2500 0.7827
0.4976 0.2500 0.8839
0.5024 0.7500 0.1161
0.7152 0.7500 0.2173
0.7848 0.2500 0.7173
0.9976 0.2500 0.6161
0.0089 0.1037 0.7756
0.0089 0.3963 0.7756
0.0563 0.2500 0.3675
0.1163 0.7500 0.5007
0.2023 0.2500 0.9754
0.2055 0.6033 0.1296
0.2055 0.8967 0.1296
0.2945 0.1033 0.6296
0.2945 0.3967 0.6296
0.2977 0.7500 0.4754
0.3837 0.2500 0.0007
0.4437 0.7500 0.8675
0.4911 0.6037 0.2756
0.4911 0.8963 0.2756
0.5089 0.1037 0.7244
0.5089 0.3963 0.7244
0.5563 0.2500 0.1325
0.6163 0.7500 0.9993
0.7023 0.2500 0.5246
0.7055 0.6033 0.3704
0.7055 0.8967 0.3704
0.7945 0.1033 0.8704
0.7945 0.3967 0.8704
0.7977 0.7500 0.0246
0.8837 0.2500 0.4993
0.9437 0.7500 0.6325
0.9911 0.6037 0.2244
0.9911 0.8963 0.2244
```

Peak list (6 most intense, 2θ from 10° to 90°, by intensity)
2θ/deg, I_rel
20.84, 100
21.25, 68
28.74, 52
34.11, 41
26.70, 31
22.34, 18